Ac6PrTl6: computed powder diffraction line list (λ = 1.5418 Å (Cu Kα)), based on a GGA-PBE-relaxed structure.

Atomic structure:
a b c (Å): 6.7941 6.7941 11.7991
angles (deg): 90.00 90.00 120.00
Space group P6/mmm (No. 191)
One atom of each set of equivalent atoms:
Ac 0.0000 0.0000 0.1691 x2
Ac 0.3333 0.6667 0.0000 x2
Ac 0.3333 0.6667 0.5000 x2
Pr 0.0000 0.0000 0.5000 x1
Tl 0.0000 0.5000 0.2552 x6

The 12 most intense peaks (10 to 80 degrees two-theta), low angle first:
15.04 deg, rel. 10, (0 0 2); 26.23 deg, rel. 27, (1 1 0); 27.27 deg, rel. 17, (1 0 3); 30.35 deg, rel. 100, (0 0 4); 34.04 deg, rel. 94, (2 0 2); 48.94 deg, rel. 13, (3 0 2); 51.46 deg, rel. 13, (2 1 4); 53.87 deg, rel. 24, (1 1 6); 53.99 deg, rel. 24, (2 2 0); 63.18 deg, rel. 21, (2 2 4); 65.37 deg, rel. 18, (4 0 2); 67.44 deg, rel. 12, (3 0 6)



TaCdPt6: computed powder diffraction line list (λ = 1.5418 Å (Cu Kα)), based on a GGA-PBE-relaxed structure.

Atomic structure:
a b c (Å): 4.023 4.023 8.010
angles (deg): 90.00 90.00 90.00
Space group P4/mmm (No. 123)
One atom of each set of equivalent atoms:
Ta 0.000 0.000 0.000 x1
Cd 0.000 0.000 0.500 x1
Pt 0.000 0.500 0.238 x4
Pt 0.500 0.500 0.000 x1
Pt 0.500 0.500 0.500 x1

The 12 most intense peaks (10 to 80 degrees two-theta), low angle first:
11.05 deg, rel. 3, (0 0 1); 22.09 deg, rel. 1, (1 0 0); 31.50 deg, rel. 1, (1 1 0); 38.83 deg, rel. 100, (1 1 2); 45.07 deg, rel. 33, (2 0 0); 45.29 deg, rel. 16, (0 0 4); 46.65 deg, rel. 2, (1 1 3); 65.64 deg, rel. 11, (2 2 0); 65.81 deg, rel. 21, (2 0 4); 75.93 deg, rel. 1, (2 0 5); 78.96 deg, rel. 26, (3 1 2); 79.27 deg, rel. 12, (1 1 6)



Repeat the first record exactly.
Ac6PrTl6: computed powder diffraction line list (λ = 1.5418 Å (Cu Kα)), based on a GGA-PBE-relaxed structure.

Atomic structure:
a b c (Å): 6.7941 6.7941 11.7991
angles (deg): 90.00 90.00 120.00
Space group P6/mmm (No. 191)
One atom of each set of equivalent atoms:
Ac 0.0000 0.0000 0.1691 x2
Ac 0.3333 0.6667 0.0000 x2
Ac 0.3333 0.6667 0.5000 x2
Pr 0.0000 0.0000 0.5000 x1
Tl 0.0000 0.5000 0.2552 x6

The 12 most intense peaks (10 to 80 degrees two-theta), low angle first:
15.04 deg, rel. 10, (0 0 2); 26.23 deg, rel. 27, (1 1 0); 27.27 deg, rel. 17, (1 0 3); 30.35 deg, rel. 100, (0 0 4); 34.04 deg, rel. 94, (2 0 2); 48.94 deg, rel. 13, (3 0 2); 51.46 deg, rel. 13, (2 1 4); 53.87 deg, rel. 24, (1 1 6); 53.99 deg, rel. 24, (2 2 0); 63.18 deg, rel. 21, (2 2 4); 65.37 deg, rel. 18, (4 0 2); 67.44 deg, rel. 12, (3 0 6)



Question: Which formula does entry 2 have?
Answer: TaCdPt6